This entry pairs a crystal structure of Pm4HgSb3 with its computed XRD peak list. Radiation: Cu Kα (weighted mean of Kα1 and Kα2). Structure: a DFT-relaxed cell (GGA-PBE, Alexandria).
Intensities are scaled so that the largest is 100.

Principal peaks in the range 2θ from 5° to 70°, sorted by position:
2θ = 13.96°, d 6.342, rel. 2; 2θ = 19.80°, d 4.484, rel. 2; 2θ = 28.14°, d 3.171, rel. 100; 2θ = 31.54°, d 2.836, rel. 1; 2θ = 34.65°, d 2.589, rel. 1; 2θ = 40.22°, d 2.242, rel. 77; 2θ = 42.78°, d 2.114, rel. 1; 2θ = 49.81°, d 1.831, rel. 28; 2θ = 58.19°, d 1.585, rel. 13; 2θ = 65.86°, d 1.418, rel. 36

Structure:
```
data_Pm4HgSb3
_chemical_formula_sum 'Pm4 Hg1 Sb3'
_cell_length_a 6.342
_cell_length_b 6.342
_cell_length_c 6.342
_cell_angle_alpha 90.00
_cell_angle_beta 90.00
_cell_angle_gamma 90.00
_symmetry_space_group_name_H-M 'P m -3 m'
_symmetry_Int_Tables_number 221
_symmetry_space_group_name_Hall '-P 4 2 3'
loop_
_atom_site_label
_atom_site_type_symbol
_atom_site_fract_x
_atom_site_fract_y
_atom_site_fract_z
Pm1 Pm 0.000 0.000 0.000
Pm2 Pm 0.000 0.500 0.500
Hg1 Hg 0.500 0.500 0.500
Sb1 Sb 0.000 0.000 0.500
```